[1]
For Rb2Hg6Pb3, the GGA-PBE geometry in Alexandria gives the computed powder diffractogram in this record (Cu Kα X-rays).
No peak broadening, texture or thermal motion is included.

Structure:
Unit cell a=12.300 b=13.814 c=4.655 alpha=90.00 beta=90.00 gamma=90.00
Space group Cmmm (No. 65)
Inequivalent atoms, fractional coordinates:
Rb 0.000 0.211 0.000
Hg 0.117 0.000 0.500
Hg 0.197 0.342 0.500
Pb 0.000 0.500 0.500
Pb 0.195 0.500 0.000

Peak list (8 most intense, 2θ from 15° to 90°, in order of rising 2θ)
d/Å, I (rel.)
4.655, 40.8
3.270, 97.2
3.164, 35.7
3.062, 33.9
2.558, 100.0
2.528, 42.3
2.422, 42.9
2.328, 41.9

---

[2]
For PrY8Er3, the GGA-PBE geometry in Alexandria gives the computed powder diffractogram in this record (Cu Kα X-rays).
No peak broadening, texture or thermal motion is included.

Structure:
Unit cell a=6.466 b=11.283 c=11.466 alpha=90.00 beta=90.00 gamma=90.00
Space group Immm (No. 71)
Inequivalent atoms, fractional coordinates:
Pr 0.000 0.000 0.000
Y 0.000 0.168 0.251
Y 0.245 0.260 0.000
Er 0.000 0.000 0.500
Er 0.000 0.500 0.241

Peak list (8 most intense, 2θ from 15° to 90°, in order of rising 2θ)
d/Å, I (rel.)
4.011, 46.7
2.866, 40.9
2.827, 100.0
2.816, 23.7
2.805, 27.6
2.005, 20.5
1.778, 21.4
1.647, 20.7